# 1
# Li4Ti2Mn3V3O16
Theoretical powder diffraction line list, Cu Kα (λ = 1.5418 Å). Input: a structure optimized by DFT (PBE+U).
Intensities are scaled so that the largest is 100.

Crystal structure
```
data_Li4Ti2Mn3V3O16
_chemical_formula_sum 'Li4 Ti2 Mn3 V3 O16'
_space_group_name_H-M_alt 'P 1'
_space_group_IT_number 1
_cell_length_a 5.8840
_cell_length_b 6.0160
_cell_length_c 9.6147
_cell_angle_alpha 87.20
_cell_angle_beta 89.67
_cell_angle_gamma 60.94
loop_
_space_group_symop_operation_xyz
'x,y,z'
loop_
_atom_site_label
_atom_site_type_symbol
_atom_site_fract_x
_atom_site_fract_y
_atom_site_fract_z
Li1 Li 0.0000 0.0000 0.0000
Li2 Li 0.0044 0.9959 0.4984
Li3 Li 0.3360 0.3294 0.9090
Li4 Li 0.6525 0.6895 0.4089
Ti1 Ti 0.3462 0.3259 0.5038
Ti2 Ti 0.6569 0.6838 0.0062
Mn1 Mn 0.1649 0.1781 0.2168
Mn2 Mn 0.6565 0.1834 0.2182
Mn3 Mn 0.8343 0.3353 0.7145
V1 V 0.1627 0.6586 0.2347
V2 V 0.3476 0.8115 0.7271
V3 V 0.8440 0.8079 0.7284
O1 O 0.0015 0.9992 0.3081
O2 O 0.0096 0.9808 0.8128
O3 O 0.0278 0.5116 0.3541
O4 O 0.1694 0.6621 0.6118
O5 O 0.1874 0.1495 0.5954
O6 O 0.3233 0.3558 0.1172
O7 O 0.3429 0.8121 0.1027
O8 O 0.4626 0.5054 0.3587
O9 O 0.4707 0.0596 0.3445
O10 O 0.4994 0.5389 0.8511
O11 O 0.5219 0.9570 0.8492
O12 O 0.6510 0.7029 0.6113
O13 O 0.6662 0.1498 0.5966
O14 O 0.8362 0.3290 0.0967
O15 O 0.8411 0.8134 0.1014
O16 O 0.9626 0.5370 0.8524
```

Largest 12 diffraction maxima, most intense first, 15° ≤ 2θ ≤ 90°:
4.801 Å, 2θ 18.48, I 100.0, (0 0 2); 4.503 Å, 2θ 19.72, I 51.0, (0 1 -1); 4.576 Å, 2θ 19.40, I 46.5, (1 0 -1); 2.495 Å, 2θ 36.00, I 43.0, (2 2 1); 2.502 Å, 2θ 35.89, I 34.3, (1 -1 2); 4.713 Å, 2θ 18.83, I 29.5, (0 1 1); 4.464 Å, 2θ 19.89, I 24.3, (1 1 -1); 3.552 Å, 2θ 25.07, I 23.3, (1 0 -2); 2.603 Å, 2θ 34.46, I 23.2, (-1 1 2); 2.288 Å, 2θ 39.38, I 22.9, (2 2 2); 1.502 Å, 2θ 61.78, I 21.8, (2 4 0); 1.507 Å, 2θ 61.53, I 21.3, (2 -2 0)

# 2
# Li4Ti3Mn3V2O16
Theoretical powder diffraction line list, Cu Kα (λ = 1.5418 Å). Input: a structure optimized by DFT (PBE+U).
Intensities are scaled so that the largest is 100.

Crystal structure
```
data_Li4Ti3Mn3V2O16
_chemical_formula_sum 'Li8 Ti6 Mn6 V4 O32'
_space_group_name_H-M_alt 'C 1 m 1'
_space_group_IT_number 8
_cell_length_a 10.2496
_cell_length_b 5.9796
_cell_length_c 9.6420
_cell_angle_alpha 90.00
_cell_angle_beta 91.28
_cell_angle_gamma 90.00
loop_
_space_group_symop_operation_xyz
'x,y,z'
'x,-y,z'
'x+1/2,y+1/2,z'
'x+1/2,-y+1/2,z'
loop_
_atom_site_label
_atom_site_type_symbol
_atom_site_fract_x
_atom_site_fract_y
_atom_site_fract_z
Li1 Li 0.0000 0.0000 0.0000
Li2 Li 0.0005 0.0000 0.4963
Li3 Li 0.1662 0.5000 0.5959
Li4 Li 0.3292 0.0000 0.0975
Ti1 Ti 0.3256 0.5000 0.2742
Ti2 Ti 0.4130 0.2492 0.7769
Mn1 Mn 0.0779 0.2605 0.2793
Mn2 Mn 0.1674 0.0000 0.7813
V1 V 0.1567 0.5000 0.0077
V2 V 0.3276 0.0000 0.5017
O1 O 0.9997 0.0000 0.1891
O2 O 0.0019 0.0000 0.6832
O3 O 0.0101 0.5000 0.1415
O4 O 0.0739 0.2532 0.8942
O5 O 0.1642 0.5000 0.3840
O6 O 0.1760 0.0000 0.4097
O7 O 0.2390 0.2843 0.1540
O8 O 0.2668 0.2253 0.6476
O9 O 0.3315 0.0000 0.8845
O10 O 0.3363 0.5000 0.8828
O11 O 0.4138 0.2551 0.3950
O12 O 0.4792 0.0000 0.6553
```

Largest 12 diffraction maxima, most intense first, 15° ≤ 2θ ≤ 90°:
4.820 Å, 2θ 18.41, I 100.0, (0 0 2); 4.571 Å, 2θ 19.42, I 82.1, (2 0 -1); 4.531 Å, 2θ 19.59, I 59.1, (1 1 1); 2.024 Å, 2θ 44.77, I 56.6, (4 0 -3); 2.503 Å, 2θ 35.88, I 46.7, (2 2 -1); 1.483 Å, 2θ 62.65, I 44.9, (6 2 0); 2.488 Å, 2θ 36.10, I 39.1, (2 2 1); 2.286 Å, 2θ 39.42, I 36.6, (2 2 -2); 2.002 Å, 2θ 45.30, I 31.7, (2 2 3); 2.548 Å, 2θ 35.22, I 31.4, (3 1 -2); 3.546 Å, 2θ 25.11, I 31.1, (2 0 -2); 2.541 Å, 2θ 35.33, I 27.6, (0 2 2)

# 3
# Li4Ti3Mn3W2O16
Theoretical powder diffraction line list, Cu Kα (λ = 1.5418 Å). Input: a structure optimized by DFT (PBE+U).
Intensities are scaled so that the largest is 100.

Crystal structure
```
data_Li4Ti3Mn3W2O16
_chemical_formula_sum 'Li4 Ti3 Mn3 W2 O16'
_space_group_name_H-M_alt 'P 1'
_space_group_IT_number 1
_cell_length_a 6.0409
_cell_length_b 6.1236
_cell_length_c 9.8691
_cell_angle_alpha 88.21
_cell_angle_beta 89.76
_cell_angle_gamma 60.75
loop_
_space_group_symop_operation_xyz
'x,y,z'
loop_
_atom_site_label
_atom_site_type_symbol
_atom_site_fract_x
_atom_site_fract_y
_atom_site_fract_z
Li1 Li 0.0000 0.0000 0.0000
Li2 Li 0.0092 0.9823 0.5081
Li3 Li 0.3564 0.2918 0.5874
Li4 Li 0.6882 0.6303 0.0836
Ti1 Ti 0.1834 0.1481 0.2754
Ti2 Ti 0.6720 0.1708 0.2779
Ti3 Ti 0.8563 0.3238 0.7697
Mn1 Mn 0.1721 0.6435 0.2843
Mn2 Mn 0.3495 0.8109 0.7843
Mn3 Mn 0.8256 0.8246 0.7875
W1 W 0.3416 0.3199 0.0039
W2 W 0.6702 0.6602 0.5079
O1 O 0.0519 0.4329 0.1521
O2 O 0.1709 0.1666 0.8964
O3 O 0.1768 0.6432 0.9235
O4 O 0.3409 0.8316 0.3959
O5 O 0.3613 0.2800 0.3827
O6 O 0.4856 0.0257 0.1523
O7 O 0.5150 0.4380 0.1513
O8 O 0.5323 0.9329 0.6351
O9 O 0.5554 0.4754 0.6321
O10 O 0.6651 0.1604 0.9035
O11 O 0.6964 0.6021 0.8845
O12 O 0.8232 0.8252 0.3993
O13 O 0.8422 0.3112 0.3854
O14 O 0.9813 0.4767 0.6388
O15 O 0.9978 0.0028 0.6936
O16 O 0.9976 0.9993 0.1886
```

Largest 12 diffraction maxima, most intense first, 15° ≤ 2θ ≤ 90°:
4.628 Å, 2θ 19.18, I 100.0, (0 1 -1); 4.672 Å, 2θ 19.00, I 99.1, (1 0 -1); 2.638 Å, 2θ 33.98, I 53.6, (1 2 2); 4.763 Å, 2θ 18.63, I 52.8, (0 1 1); 4.593 Å, 2θ 19.32, I 51.9, (1 1 -1); 2.579 Å, 2θ 34.78, I 45.6, (2 1 2); 2.568 Å, 2θ 34.94, I 43.8, (1 2 -2); 3.627 Å, 2θ 24.54, I 34.8, (1 0 -2); 2.809 Å, 2θ 31.86, I 33.3, (1 1 3); 2.760 Å, 2θ 32.44, I 32.4, (1 1 -3); 5.258 Å, 2θ 16.86, I 22.8, (1 1 0); 2.555 Å, 2θ 35.13, I 22.3, (0 2 -1)

# 4
# Li2MnV3O8
Theoretical powder diffraction line list, Cu Kα (λ = 1.5418 Å). Input: a structure optimized by DFT (PBE+U).
Intensities are scaled so that the largest is 100.

Crystal structure
```
data_Li2MnV3O8
_chemical_formula_sum 'Li12 Mn6 V18 O48'
_space_group_name_H-M_alt 'R 3'
_space_group_IT_number 146
_space_group_name_Hall 'R 3'
_cell_length_a 5.9677
_cell_length_b 5.9677
_cell_length_c 29.6857
_cell_angle_alpha 90.00
_cell_angle_beta 90.00
_cell_angle_gamma 120.00
loop_
_atom_site_label
_atom_site_type_symbol
_atom_site_fract_x
_atom_site_fract_y
_atom_site_fract_z
Li1 Li 0.0000 0.0000 0.0000
Li2 Li 0.0000 0.0000 0.1901
Li3 Li 0.0000 0.0000 0.4999
Li4 Li 0.0000 0.0000 0.6904
Mn1 Mn 0.0000 0.0000 0.3788
Mn2 Mn 0.0000 0.0000 0.8792
V1 V 0.1603 0.8221 0.7732
V2 V 0.1636 0.3387 0.2733
O1 O 0.0000 0.0000 0.0692
O2 O 0.0000 0.0000 0.3091
O3 O 0.0000 0.0000 0.5693
O4 O 0.0000 0.0000 0.8093
O5 O 0.0281 0.4989 0.3078
O6 O 0.0283 0.5290 0.8078
O7 O 0.1701 0.3662 0.4045
O8 O 0.1696 0.8038 0.9044
```

Largest 12 diffraction maxima, most intense first, 15° ≤ 2θ ≤ 90°:
4.948 Å, 2θ 17.93, I 100.0, (0 0 6); 2.546 Å, 2θ 35.25, I 82.1, (2 0 2); 2.121 Å, 2θ 42.64, I 61.7, (2 0 8); 2.555 Å, 2θ 35.12, I 54.6, (1 1 6); 3.014 Å, 2θ 29.64, I 48.1, (0 1 8); 4.241 Å, 2θ 20.95, I 47.2, (1 0 4); 1.492 Å, 2θ 62.23, I 40.5, (2 2 0); 1.507 Å, 2θ 61.53, I 38.7, (0 2 16); 1.639 Å, 2θ 56.11, I 33.7, (2 0 14); 4.881 Å, 2θ 18.18, I 22.5, (0 1 2); 2.574 Å, 2θ 34.85, I 21.8, (1 0 10); 1.632 Å, 2θ 56.39, I 18.1, (2 1 10)

# 5
# Li2MnV2O6
Theoretical powder diffraction line list, Cu Kα (λ = 1.5418 Å). Input: a structure optimized by DFT (PBE+U).
Intensities are scaled so that the largest is 100.

Crystal structure
```
data_Li2MnV2O6
_chemical_formula_sum 'Li4 Mn2 V4 O12'
_space_group_name_H-M_alt 'P -1'
_space_group_IT_number 2
_cell_length_a 5.9233
_cell_length_b 6.5994
_cell_length_c 6.8302
_cell_angle_alpha 72.35
_cell_angle_beta 76.43
_cell_angle_gamma 64.47
loop_
_space_group_symop_operation_xyz
'x,y,z'
'-x,-y,-z'
loop_
_atom_site_label
_atom_site_type_symbol
_atom_site_fract_x
_atom_site_fract_y
_atom_site_fract_z
Li1 Li 0.0861 0.1545 0.3388
Li2 Li 0.2509 0.5035 0.9998
Mn1 Mn 0.0000 0.0000 0.0000
Mn2 Mn 0.5000 0.0000 0.0000
V1 V 0.1806 0.3163 0.6582
V2 V 0.3301 0.6573 0.3365
O1 O 0.0170 0.1091 0.6578
O2 O 0.1182 0.2395 0.9799
O3 O 0.1888 0.4436 0.3391
O4 O 0.3090 0.5612 0.6470
O5 O 0.3608 0.7548 0.0312
O6 O 0.4591 0.8980 0.3036
```

Largest 12 diffraction maxima, most intense first, 15° ≤ 2θ ≤ 90°:
4.913 Å, 2θ 18.06, I 100.0, (0 1 1); 2.154 Å, 2θ 41.95, I 23.6, (0 0 3); 2.120 Å, 2θ 42.64, I 22.7, (2 -1 0); 2.079 Å, 2θ 43.54, I 21.1, (2 3 1); 2.565 Å, 2θ 34.98, I 12.6, (2 0 1); 2.580 Å, 2θ 34.77, I 12.0, (0 1 -2); 1.480 Å, 2θ 62.77, I 11.9, (4 2 1); 2.499 Å, 2θ 35.94, I 11.1, (2 2 0); 1.520 Å, 2θ 60.94, I 6.6, (2 -1 3); 1.502 Å, 2θ 61.77, I 5.6, (-2 1 3); 1.512 Å, 2θ 61.33, I 5.6, (2 3 4); 1.489 Å, 2θ 62.38, I 5.3, (0 4 1)

# 6
# Li2MnV3O8
Theoretical powder diffraction line list, Cu Kα (λ = 1.5418 Å). Input: a structure optimized by DFT (PBE+U).
Intensities are scaled so that the largest is 100.

Crystal structure
```
data_Li2MnV3O8
_chemical_formula_sum 'Li4 Mn2 V6 O16'
_space_group_name_H-M_alt 'P 1'
_space_group_IT_number 1
_cell_length_a 5.9394
_cell_length_b 5.9518
_cell_length_c 10.3631
_cell_angle_alpha 73.46
_cell_angle_beta 73.37
_cell_angle_gamma 60.07
loop_
_space_group_symop_operation_xyz
'x,y,z'
loop_
_atom_site_label
_atom_site_type_symbol
_atom_site_fract_x
_atom_site_fract_y
_atom_site_fract_z
Li1 Li 0.0000 0.0000 0.0000
Li2 Li 0.1314 0.1281 0.6302
Li3 Li 0.4963 0.5084 0.5012
Li4 Li 0.6327 0.6205 0.1289
Mn1 Mn 0.0662 0.5630 0.8155
Mn2 Mn 0.5656 0.0648 0.3145
V1 V 0.0656 0.0655 0.3144
V2 V 0.0663 0.5637 0.3154
V3 V 0.3156 0.3081 0.0662
V4 V 0.5661 0.0643 0.8156
V5 V 0.5655 0.5644 0.8149
V6 V 0.8124 0.8211 0.5648
O1 O 0.1577 0.7252 0.4304
O2 O 0.2070 0.1843 0.4227
O3 O 0.2076 0.2076 0.9301
O4 O 0.2077 0.6593 0.9286
O5 O 0.4229 0.4287 0.7081
O6 O 0.4287 0.9580 0.2041
O7 O 0.4299 0.4099 0.1977
O8 O 0.4705 0.9307 0.7013
O9 O 0.6626 0.1965 0.9280
O10 O 0.6998 0.7224 0.4328
O11 O 0.7015 0.1692 0.4256
O12 O 0.7092 0.6991 0.9221
O13 O 0.9239 0.9437 0.2076
O14 O 0.9254 0.4679 0.7023
O15 O 0.9260 0.9159 0.7001
O16 O 0.9683 0.4060 0.2016
```

Largest 12 diffraction maxima, most intense first, 15° ≤ 2θ ≤ 90°:
4.860 Å, 2θ 18.25, I 100.0, (0 1 1); 2.106 Å, 2θ 42.95, I 53.6, (2 0 -2); 4.892 Å, 2θ 18.13, I 40.9, (0 0 2); 2.541 Å, 2θ 35.32, I 38.1, (1 -1 2); 2.112 Å, 2θ 42.82, I 27.0, (0 2 -2); 1.494 Å, 2θ 62.12, I 24.0, (2 0 6); 1.488 Å, 2θ 62.41, I 15.9, (2 -2 0); 2.550 Å, 2θ 35.19, I 15.1, (0 1 -3); 2.534 Å, 2θ 35.42, I 11.3, (2 2 2); 1.625 Å, 2θ 56.66, I 11.2, (2 0 -4); 1.621 Å, 2θ 56.80, I 10.2, (-2 1 3); 1.215 Å, 2θ 78.76, I 9.0, (4 0 4)

# 7
# Li2MnV3O8
Theoretical powder diffraction line list, Cu Kα (λ = 1.5418 Å). Input: a structure optimized by DFT (PBE+U).
Intensities are scaled so that the largest is 100.

Crystal structure
```
data_Li2MnV3O8
_chemical_formula_sum 'Li4 Mn2 V6 O16'
_space_group_name_H-M_alt 'P 3 1 c'
_space_group_IT_number 159
_cell_length_a 5.9310
_cell_length_b 5.9310
_cell_length_c 9.9289
_cell_angle_alpha 90.00
_cell_angle_beta 90.00
_cell_angle_gamma 120.00
loop_
_space_group_symop_operation_xyz
'x,y,z'
'-y,x-y,z'
'-x+y,-x,z'
'y,x,z+1/2'
'x-y,-y,z+1/2'
'-x,-x+y,z+1/2'
loop_
_atom_site_label
_atom_site_type_symbol
_atom_site_fract_x
_atom_site_fract_y
_atom_site_fract_z
Li1 Li 0.0000 0.0000 0.0000
Li2 Li 0.3333 0.6667 0.3972
Mn1 Mn 0.3333 0.6667 0.0005
V1 V 0.1582 0.8202 0.7176
O1 O 0.0000 0.0000 0.3169
O2 O 0.0336 0.5327 0.8289
O3 O 0.1417 0.3109 0.1124
O4 O 0.3333 0.6667 0.6062
```

Largest 12 diffraction maxima, most intense first, 15° ≤ 2θ ≤ 90°:
4.562 Å, 2θ 19.46, I 100.0, (1 0 1); 4.964 Å, 2θ 17.87, I 85.2, (0 0 2); 2.546 Å, 2θ 35.25, I 69.2, (2 -1 2); 2.029 Å, 2θ 44.66, I 59.0, (2 0 3); 1.571 Å, 2θ 58.78, I 56.2, (2 0 5); 2.486 Å, 2θ 36.13, I 55.2, (2 0 1); 2.281 Å, 2θ 39.51, I 47.3, (2 0 2); 2.782 Å, 2θ 32.17, I 44.9, (1 0 3); 1.483 Å, 2θ 62.65, I 44.5, (2 2 0); 3.570 Å, 2θ 24.94, I 34.9, (1 0 2); 1.785 Å, 2θ 51.18, I 24.1, (2 0 4); 1.675 Å, 2θ 54.82, I 23.2, (2 1 3)